Entry 1:
For SmYCo4Ni6, DFT lattice parameters and positions (PBE) gives the simulated powder X-ray diffraction pattern in this record (CuKα).
Intensities are scaled so that the largest is 100.

Atomic structure:
```
data_SmYCo4Ni6
_space_group_name_H-M_alt 'P 1'
_space_group_IT_number 1
_cell_length_a 3.978
_cell_length_b 4.914
_cell_length_c 8.513
_cell_angle_alpha 90.00
_cell_angle_beta 90.00
_cell_angle_gamma 90.00
loop_
_space_group_symop_operation_xyz
'x,y,z'
loop_
_atom_site_label
_atom_site_type_symbol
_atom_site_fract_x
_atom_site_fract_y
_atom_site_fract_z
Sm1 Sm 0.000 0.000 0.000
Y1 Y 0.000 0.500 0.500
Co1 Co 0.000 0.000 0.335
Co2 Co 0.000 0.000 0.665
Co3 Co 0.000 0.500 0.169
Co4 Co 0.000 0.500 0.831
Ni1 Ni 0.500 0.000 0.500
Ni2 Ni 0.500 0.251 0.252
Ni3 Ni 0.500 0.251 0.748
Ni4 Ni 0.500 0.500 0.000
Ni5 Ni 0.500 0.749 0.252
Ni6 Ni 0.500 0.749 0.748
```

Peak list (8 most intense, 10° ≤ 2θ ≤ 80°, in order of falling intensity)
| Position (°2θ) | Rel. int. |
| --- | --- |
| 43.3 | 100 |
| 30.8 | 41 |
| 42.5 | 36 |
| 45.6 | 29 |
| 36.6 | 27 |
| 70.5 | 22 |
| 64.1 | 20 |
| 77.7 | 16 |



Entry 2:
For BaInSnBi2, DFT lattice parameters and positions (PBE) gives the simulated powder X-ray diffraction pattern in this record (CuKα).
Intensities are scaled so that the largest is 100.

Atomic structure:
```
data_BaInSnBi2
_space_group_name_H-M_alt 'P 1'
_space_group_IT_number 1
_cell_length_a 9.380
_cell_length_b 9.380
_cell_length_c 12.997
_cell_angle_alpha 131.25
_cell_angle_beta 131.25
_cell_angle_gamma 30.85
loop_
_space_group_symop_operation_xyz
'x,y,z'
loop_
_atom_site_label
_atom_site_type_symbol
_atom_site_fract_x
_atom_site_fract_y
_atom_site_fract_z
Ba1 Ba 0.230 0.230 0.314
Ba2 Ba 0.770 0.770 0.686
In1 In 0.064 0.064 0.424
In2 In 0.936 0.936 0.576
Sn1 Sn 0.355 0.355 0.116
Sn2 Sn 0.645 0.645 0.884
Bi1 Bi 0.167 0.167 0.757
Bi2 Bi 0.418 0.418 0.703
Bi3 Bi 0.582 0.582 0.297
Bi4 Bi 0.833 0.833 0.243
```

Peak list (8 most intense, 10° ≤ 2θ ≤ 80°, in order of falling intensity)
| Position (°2θ) | Rel. int. |
| --- | --- |
| 33.4 | 100 |
| 23.7 | 98 |
| 30.8 | 65 |
| 18.7 | 57 |
| 36.0 | 47 |
| 29.8 | 28 |
| 38.0 | 25 |
| 13.6 | 24 |